The following is a calculated powder diffractogram of Mn4O7F. It was derived from a crystal structure in Alexandria, relaxed with GGA+U, using Cu Kα X-rays.
Lines closer than 0.1° are merged.

Main lines, sorted by position (2θ = 10–80°):
(hkl)  two_theta  I_rel
1 2 0  25.7  100
1 2 -1  31.4  90
1 2 1  31.5  82
0 0 2  36.2  20
0 4 1  37.4  39
1 4 1  42.7  17
1 6 0  54.1  24
2 0 -2  55.1  21
2 0 2  55.4  20
2 4 -1  56.0  33
2 4 1  56.2  33
0 4 3  65.9  28

a = 4.477 Å, b = 10.998 Å, c = 4.967 Å
α = 90.00°, β = 90.34°, γ = 90.00°
Space group Pc (No. 7)
Symmetry-distinct sites (fractional):
Mn (0.000, 0.067, 0.000) (multiplicity 2)
Mn (0.466, 0.334, 0.995) (multiplicity 2)
Mn (0.477, 0.178, 0.476) (multiplicity 2)
Mn (0.970, 0.426, 0.497) (multiplicity 2)
O (0.198, 0.448, 0.175) (multiplicity 2)
O (0.230, 0.055, 0.667) (multiplicity 2)
O (0.246, 0.305, 0.661) (multiplicity 2)
O (0.252, 0.193, 0.156) (multiplicity 2)
O (0.711, 0.306, 0.316) (multiplicity 2)
O (0.739, 0.445, 0.823) (multiplicity 2)
O (0.762, 0.056, 0.319) (multiplicity 2)
F (0.729, 0.188, 0.816) (multiplicity 2)